Starting from a structure optimized by DFT (PBE), the XRD peak list of Hf2PaPd9 was simulated for a wavelength of 1.5418 Å.
No peak broadening, texture or thermal motion is included.

The 12 most intense peaks (2θ = 10–90°), low angle first:
| hkl | two_theta | I_rel |
| --- | --- | --- |
| 1 0 0 | 21.8 | 5 |
| 0 0 3 | 22.0 | 3 |
| 1 0 3 | 31.2 | 5 |
| 1 1 3 | 38.3 | 100 |
| 2 0 0 | 44.5 | 33 |
| 0 0 6 | 44.8 | 16 |
| 2 0 3 | 50.1 | 3 |
| 2 2 0 | 64.7 | 11 |
| 2 0 6 | 65.0 | 21 |
| 3 1 3 | 77.8 | 25 |
| 1 1 9 | 78.3 | 11 |
| 2 2 6 | 82.1 | 11 |

Structure:
Cell: 4.0759 4.0759 12.1352 Å, 90.00 90.00 90.00°
Space group P4/mmm (No. 123)
Inequivalent atoms, fractional coordinates:
Hf  0.0000  0.0000  0.1622
Pa  0.0000  0.0000  0.5000
Pd  0.0000  0.5000  0.0000
Pd  0.0000  0.5000  0.3255
Pd  0.5000  0.5000  0.1622
Pd  0.5000  0.5000  0.5000